Diffraction record for AsAu15. The powder diffraction line list is calculated, not measured: it uses a structure optimized by DFT (GGA-PBE) and Cu Kα (weighted mean of Kα1 and Kα2).
Peak positions follow from Bragg's law for the DFT cell and can differ from measured ones.

Structural model:
```
data_AsAu15
_chemical_formula_sum 'As2 Au30'
_symmetry_space_group_name_H-M 'P 1 m 1'
_symmetry_Int_Tables_number 6
_cell_length_a 5.740
_cell_length_b 2.884
_cell_length_c 42.640
_cell_angle_alpha 90.00
_cell_angle_beta 90.04
_cell_angle_gamma 90.00
loop_
_symmetry_equiv_pos_as_xyz
'x,y,z'
'x,-y,z'
loop_
_atom_site_label
_atom_site_type_symbol
_atom_site_fract_x
_atom_site_fract_y
_atom_site_fract_z
As1 As 0.000 0.000 0.000
As2 As 0.267 0.500 0.249
Au1 Au 0.006 0.000 0.399
Au2 Au 0.008 0.000 0.499
Au3 Au 0.008 0.000 0.700
Au4 Au 0.009 0.000 0.599
Au5 Au 0.009 0.000 0.800
Au6 Au 0.011 0.000 0.297
Au7 Au 0.011 0.000 0.900
Au8 Au 0.256 0.500 0.349
Au9 Au 0.256 0.500 0.952
Au10 Au 0.258 0.500 0.449
Au11 Au 0.258 0.500 0.549
Au12 Au 0.258 0.500 0.650
Au13 Au 0.259 0.500 0.750
Au14 Au 0.261 0.500 0.850
Au15 Au 0.504 0.000 0.298
Au16 Au 0.508 0.000 0.399
Au17 Au 0.508 0.000 0.499
Au18 Au 0.508 0.000 0.599
Au19 Au 0.509 0.000 0.001
Au20 Au 0.509 0.000 0.700
Au21 Au 0.509 0.000 0.800
Au22 Au 0.509 0.000 0.901
Au23 Au 0.758 0.500 0.247
Au24 Au 0.758 0.500 0.348
Au25 Au 0.758 0.500 0.449
Au26 Au 0.758 0.500 0.549
Au27 Au 0.758 0.500 0.850
Au28 Au 0.759 0.500 0.650
Au29 Au 0.759 0.500 0.750
Au30 Au 0.763 0.500 0.951
```

The 8 most intense peaks (2θ from 10° to 90°), in order of falling intensity:
| 2theta | d_spacing | I (rel.) |
| --- | --- | --- |
| 37.7 | 2.389 | 1000 |
| 37.8 | 2.381 | 990 |
| 44.5 | 2.034 | 733 |
| 63.2 | 1.472 | 443 |
| 42.4 | 2.132 | 356 |
| 77.4 | 1.234 | 256 |
| 77.6 | 1.230 | 253 |
| 74.4 | 1.275 | 138 |